Record 1
# Sr2DyPdO5
Calculated PXRD pattern, Cu Kα. Input: the PBE geometry in Alexandria.
Kinematic intensities with the Lorentz-polarization factor, no thermal factor.

Largest 12 diffraction maxima, in order of rising 2θ, 10° ≤ 2θ ≤ 80°:
| 2θ/deg | d (Å) | I/Imax |
| --- | --- | --- |
| 27.4 | 3.250 | 19 |
| 29.4 | 3.041 | 44 |
| 31.2 | 2.867 | 100 |
| 34.2 | 2.623 | 32 |
| 39.2 | 2.298 | 29 |
| 40.6 | 2.221 | 24 |
| 42.0 | 2.150 | 20 |
| 43.0 | 2.101 | 24 |
| 49.7 | 1.834 | 24 |
| 53.3 | 1.720 | 26 |
| 58.8 | 1.570 | 19 |
| 74.9 | 1.268 | 18 |

Atomic structure:
a = 6.501 Å, b = 6.501 Å, c = 6.082 Å
α = 90.00°, β = 90.00°, γ = 90.00°
Sites, in units of the cell vectors:
1 Sr 0.163 0.337 0.000
2 Sr 0.337 0.837 0.000
3 Sr 0.663 0.163 0.000
4 Sr 0.837 0.663 0.000
5 Dy 0.000 0.000 0.500
6 Dy 0.500 0.500 0.500
7 Pd 0.000 0.500 0.500
8 Pd 0.500 0.000 0.500
9 O 0.000 0.000 0.000
10 O 0.163 0.663 0.288
11 O 0.163 0.663 0.712
12 O 0.337 0.163 0.288
13 O 0.337 0.163 0.712
14 O 0.500 0.500 0.000
15 O 0.663 0.837 0.288
16 O 0.663 0.837 0.712
17 O 0.837 0.337 0.288
18 O 0.837 0.337 0.712



Record 2
# BaSrRuO4
Calculated PXRD pattern, Cu Kα. Input: the PBE geometry in Alexandria.
Kinematic intensities with the Lorentz-polarization factor, no thermal factor.

Largest 12 diffraction maxima, in order of rising 2θ, 10° ≤ 2θ ≤ 80°:
| 2θ/deg | d (Å) | I/Imax |
| --- | --- | --- |
| 13.3 | 6.642 | 13 |
| 30.2 | 2.956 | 100 |
| 31.9 | 2.807 | 61 |
| 40.8 | 2.214 | 16 |
| 40.9 | 2.208 | 11 |
| 42.1 | 2.144 | 10 |
| 45.7 | 1.985 | 31 |
| 52.7 | 1.738 | 19 |
| 55.8 | 1.648 | 36 |
| 62.9 | 1.477 | 22 |
| 66.6 | 1.404 | 9 |
| 75.8 | 1.255 | 10 |

Atomic structure:
a = 3.970 Å, b = 3.970 Å, c = 13.284 Å
α = 90.00°, β = 90.00°, γ = 90.00°
Sites, in units of the cell vectors:
1 Ba 0.000 0.000 0.000
2 Ba 0.500 0.500 0.500
3 Sr 0.000 0.000 0.707
4 Sr 0.500 0.500 0.207
5 Ru 0.000 0.000 0.350
6 Ru 0.500 0.500 0.850
7 O 0.000 0.000 0.194
8 O 0.000 0.000 0.512
9 O 0.000 0.500 0.346
10 O 0.000 0.500 0.846
11 O 0.500 0.000 0.346
12 O 0.500 0.000 0.846
13 O 0.500 0.500 0.012
14 O 0.500 0.500 0.694



Record 3
# RbDyBe2F8
Calculated PXRD pattern, Cu Kα. Input: the PBE geometry in Alexandria.
Kinematic intensities with the Lorentz-polarization factor, no thermal factor.

Largest 12 diffraction maxima, in order of rising 2θ, 10° ≤ 2θ ≤ 80°:
| 2θ/deg | d (Å) | I/Imax |
| --- | --- | --- |
| 10.5 | 8.432 | 55 |
| 19.1 | 4.654 | 100 |
| 20.7 | 4.286 | 61 |
| 21.1 | 4.216 | 36 |
| 21.4 | 4.149 | 32 |
| 28.0 | 3.191 | 60 |
| 29.2 | 3.062 | 55 |
| 32.3 | 2.771 | 21 |
| 35.3 | 2.540 | 38 |
| 38.9 | 2.316 | 37 |
| 43.6 | 2.074 | 25 |
| 46.5 | 1.951 | 28 |

Atomic structure:
a = 5.115 Å, b = 5.115 Å, c = 8.457 Å
α = 93.70°, β = 93.70°, γ = 65.61°
Sites, in units of the cell vectors:
1 Rb 0.000 0.000 0.000
2 Dy 0.000 0.000 0.500
3 Be 0.376 0.376 0.720
4 Be 0.624 0.624 0.280
5 F 0.245 0.711 0.689
6 F 0.248 0.248 0.573
7 F 0.289 0.755 0.311
8 F 0.313 0.313 0.879
9 F 0.687 0.687 0.121
10 F 0.711 0.245 0.689
11 F 0.752 0.752 0.427
12 F 0.755 0.289 0.311